# 1
RbPa2O6: theoretical powder X-ray diffraction pattern (Cu Kα (λ = 1.5418 Å)), based on the PBE geometry in OQMD.

Atomic structure:
Cell: 11.388 11.388 11.388 Å, 90.00 90.00 90.00°
Space group Fd-3m (No. 227, origin choice 2)
Asymmetric unit:
Rb1 0.125 0.125 0.125 [8 per cell]
Pa1 0.000 0.000 0.500 [16 per cell]
O1 0.072 0.375 0.875 [48 per cell]

Principal peaks in the range 2θ from 5° to 70°, in order of rising 2θ:
- 13.47 deg, rel. 625
- 25.95 deg, rel. 1000
- 27.12 deg, rel. 710
- 31.42 deg, rel. 149
- 41.19 deg, rel. 356
- 45.03 deg, rel. 462
- 47.22 deg, rel. 149
- 52.71 deg, rel. 156
- 53.36 deg, rel. 344
- 62.66 deg, rel. 271

# 2
PaSbO3: theoretical powder X-ray diffraction pattern (Cu Kα (λ = 1.5418 Å)), based on the PBE geometry in OQMD.

Atomic structure:
Cell: 6.3306 6.3306 14.9156 Å, 90.00 90.00 120.00°
Space group R-3 (No. 148, hexagonal axes)
Asymmetric unit:
Pa1 0.0000 0.0000 0.1723 [6 per cell]
Sb1 0.0000 0.0000 0.4050 [6 per cell]
O1 0.0046 0.3220 0.9031 [18 per cell]

Principal peaks in the range 2θ from 5° to 70°, in order of rising 2θ:
- 17.84 deg, rel. 429
- 28.19 deg, rel. 1000
- 28.96 deg, rel. 276
- 33.56 deg, rel. 478
- 34.22 deg, rel. 406
- 44.91 deg, rel. 202
- 49.90 deg, rel. 311
- 53.42 deg, rel. 150
- 53.87 deg, rel. 231
- 63.35 deg, rel. 186

# 3
PaSeO6: theoretical powder X-ray diffraction pattern (Cu Kα (λ = 1.5418 Å)), based on the PBE geometry in OQMD.

Atomic structure:
Cell: 5.744 6.688 4.399 Å, 90.00 103.14 90.00°
Space group C2/m (No. 12)
Asymmetric unit:
Pa1 0.000 0.000 0.000 [2 per cell]
Se1 0.000 0.500 0.500 [2 per cell]
O1 0.120 0.322 0.797 [8 per cell]
O2 0.203 0.000 0.561 [4 per cell]

Principal peaks in the range 2θ from 5° to 70°, in order of rising 2θ:
- 20.71 deg, rel. 354
- 26.70 deg, rel. 1000
- 32.00 deg, rel. 570
- 42.14 deg, rel. 260
- 43.74 deg, rel. 164
- 47.11 deg, rel. 113
- 50.59 deg, rel. 511
- 55.05 deg, rel. 108
- 60.07 deg, rel. 113
- 65.02 deg, rel. 103

# 4
Sr4Pa4O11: theoretical powder X-ray diffraction pattern (Cu Kα (λ = 1.5418 Å)), based on the PBE geometry in OQMD.

Atomic structure:
Cell: 6.134 6.265 8.728 Å, 89.78 89.95 89.63°
Space group P1 (No. 1)
Asymmetric unit:
Sr1 0.000 0.000 0.000 [1 per cell]
Sr2 0.016 0.923 0.503 [1 per cell]
Sr3 0.499 0.414 0.505 [1 per cell]
Sr4 0.517 0.503 0.995 [1 per cell]
Pa1 0.003 0.458 0.248 [1 per cell]
Pa2 0.010 0.458 0.750 [1 per cell]
Pa3 0.510 0.965 0.246 [1 per cell]
Pa4 0.511 0.958 0.748 [1 per cell]
O1 0.122 0.406 0.000 [1 per cell]
O2 0.207 0.156 0.688 [1 per cell]
O3 0.207 0.162 0.310 [1 per cell]
O4 0.319 0.652 0.694 [1 per cell]
O5 0.396 0.908 0.999 [1 per cell]
O6 0.621 0.011 0.495 [1 per cell]
O7 0.708 0.258 0.806 [1 per cell]
O8 0.715 0.253 0.177 [1 per cell]
O9 0.809 0.760 0.187 [1 per cell]
O10 0.817 0.762 0.809 [1 per cell]
O11 0.898 0.508 0.497 [1 per cell]

Principal peaks in the range 2θ from 5° to 70°, in order of rising 2θ:
- 20.20 deg, rel. 309
- 20.34 deg, rel. 527
- 28.50 deg, rel. 490
- 28.82 deg, rel. 1000
- 28.92 deg, rel. 956
- 29.12 deg, rel. 466
- 41.06 deg, rel. 223
- 41.36 deg, rel. 459
- 51.39 deg, rel. 464
- 51.55 deg, rel. 238

# 5
Sr4Pa4O11: theoretical powder X-ray diffraction pattern (Cu Kα (λ = 1.5418 Å)), based on the PBE geometry in OQMD.

Atomic structure:
Cell: 6.102 8.794 6.250 Å, 90.00 90.02 90.00°
Space group Pm (No. 6)
Asymmetric unit:
Sr1 0.000 0.000 0.000 [1 per cell]
Sr2 0.016 0.500 0.069 [1 per cell]
Sr3 0.481 0.500 0.590 [1 per cell]
Sr4 0.523 0.000 0.500 [1 per cell]
Pa1 0.011 0.246 0.543 [2 per cell]
Pa2 0.511 0.250 0.045 [2 per cell]
O1 0.130 0.000 0.601 [1 per cell]
O2 0.206 0.306 0.845 [2 per cell]
O3 0.311 0.310 0.347 [2 per cell]
O4 0.399 0.000 0.097 [1 per cell]
O5 0.615 0.500 0.990 [1 per cell]
O6 0.709 0.186 0.743 [2 per cell]
O7 0.817 0.188 0.243 [2 per cell]

Principal peaks in the range 2θ from 5° to 70°, in order of rising 2θ:
- 20.20 deg, rel. 145
- 20.34 deg, rel. 273
- 28.57 deg, rel. 233
- 28.82 deg, rel. 1000
- 29.27 deg, rel. 222
- 41.36 deg, rel. 223
- 50.76 deg, rel. 317
- 51.63 deg, rel. 229
- 59.69 deg, rel. 136
- 67.38 deg, rel. 133

# 6
Sr3PaO6: theoretical powder X-ray diffraction pattern (Cu Kα (λ = 1.5418 Å)), based on the PBE geometry in OQMD.

Atomic structure:
Cell: 10.1494 10.1494 12.0769 Å, 90.00 90.00 120.00°
Space group R-3 (No. 148, hexagonal axes)
Asymmetric unit:
Sr1 0.0363 0.2669 0.2127 [18 per cell]
Pa1 0.0000 0.0000 0.0000 [3 per cell]
Pa2 0.0000 0.0000 0.5000 [3 per cell]
O1 0.0251 0.1762 0.8851 [18 per cell]
O2 0.0275 0.1981 0.4085 [18 per cell]

Principal peaks in the range 2θ from 5° to 70°, in order of rising 2θ:
- 17.48 deg, rel. 488
- 17.82 deg, rel. 615
- 25.06 deg, rel. 793
- 27.85 deg, rel. 455
- 30.51 deg, rel. 382
- 30.72 deg, rel. 1000
- 31.33 deg, rel. 318
- 40.37 deg, rel. 443
- 47.40 deg, rel. 418
- 47.96 deg, rel. 327

# 7
Pd2PbO4: theoretical powder X-ray diffraction pattern (Cu Kα (λ = 1.5418 Å)), based on the PBE geometry in OQMD.

Atomic structure:
Cell: 5.860 5.860 10.140 Å, 90.00 90.00 90.00°
Space group I4_1/a (No. 88, origin choice 2)
Asymmetric unit:
Pd1 0.000 0.000 0.000 [8 per cell]
Pb1 0.000 0.250 0.625 [4 per cell]
O1 0.160 0.446 0.826 [16 per cell]

Principal peaks in the range 2θ from 5° to 70°, in order of rising 2θ:
- 27.81 deg, rel. 396
- 30.53 deg, rel. 564
- 35.38 deg, rel. 1000
- 47.43 deg, rel. 280
- 52.58 deg, rel. 186
- 54.24 deg, rel. 135
- 57.43 deg, rel. 438
- 59.03 deg, rel. 57
- 63.52 deg, rel. 139
- 66.45 deg, rel. 49

# 8
Pd2PbO4: theoretical powder X-ray diffraction pattern (Cu Kα (λ = 1.5418 Å)), based on the PBE geometry in OQMD.

Atomic structure:
Cell: 5.843 5.843 10.071 Å, 90.00 90.00 90.00°
Space group I4_1/a (No. 88, origin choice 2)
Asymmetric unit:
Pd1 0.000 0.000 0.000 [8 per cell]
Pb1 0.000 0.250 0.625 [4 per cell]
O1 0.160 0.445 0.825 [16 per cell]

Principal peaks in the range 2θ from 5° to 70°, in order of rising 2θ:
- 27.93 deg, rel. 395
- 30.60 deg, rel. 111
- 30.72 deg, rel. 451
- 35.50 deg, rel. 1000
- 47.74 deg, rel. 276
- 52.77 deg, rel. 187
- 54.46 deg, rel. 135
- 57.61 deg, rel. 180
- 57.73 deg, rel. 257
- 63.71 deg, rel. 88

# 9
Pt4PbO9: theoretical powder X-ray diffraction pattern (Cu Kα (λ = 1.5418 Å)), based on the PBE geometry in OQMD.

Atomic structure:
Cell: 6.532 11.815 4.891 Å, 90.00 110.94 90.00°
Space group C2 (No. 5)
Asymmetric unit:
Pt1 0.000 0.000 0.000 [2 per cell]
Pt2 0.000 0.144 0.500 [2 per cell]
Pt3 0.119 0.745 0.814 [4 per cell]
Pb1 0.000 0.430 0.500 [2 per cell]
O1 0.000 0.631 0.500 [2 per cell]
O2 0.156 0.006 0.424 [4 per cell]
O3 0.177 0.270 0.434 [4 per cell]
O4 0.205 0.119 0.915 [4 per cell]
O5 0.233 0.891 0.003 [4 per cell]

Principal peaks in the range 2θ from 5° to 70°, in order of rising 2θ:
- 21.08 deg, rel. 333
- 26.95 deg, rel. 648
- 28.81 deg, rel. 311
- 29.29 deg, rel. 1000
- 30.12 deg, rel. 533
- 36.22 deg, rel. 275
- 37.57 deg, rel. 324
- 42.42 deg, rel. 278
- 47.90 deg, rel. 340
- 51.83 deg, rel. 278

# 10
PtPb2O4: theoretical powder X-ray diffraction pattern (Cu Kα (λ = 1.5418 Å)), based on the PBE geometry in OQMD.

Atomic structure:
Cell: 7.743 9.191 6.369 Å, 90.00 90.00 90.00°
Space group Pbam (No. 55)
Asymmetric unit:
Pt1 0.000 0.000 0.249 [4 per cell]
Pb1 0.095 0.327 0.500 [4 per cell]
Pb2 0.129 0.658 0.000 [4 per cell]
O1 0.114 0.898 0.500 [4 per cell]
O2 0.133 0.913 0.000 [4 per cell]
O3 0.169 0.169 0.250 [8 per cell]

Principal peaks in the range 2θ from 5° to 70°, in order of rising 2θ:
- 22.97 deg, rel. 216
- 26.54 deg, rel. 556
- 28.68 deg, rel. 1000
- 31.40 deg, rel. 790
- 31.91 deg, rel. 749
- 34.26 deg, rel. 360
- 42.61 deg, rel. 312
- 49.99 deg, rel. 224
- 54.70 deg, rel. 324
- 55.56 deg, rel. 222

# 11
PtPbSO: theoretical powder X-ray diffraction pattern (Cu Kα (λ = 1.5418 Å)), based on the PBE geometry in OQMD.

Atomic structure:
Cell: 5.833 7.026 8.167 Å, 90.00 90.00 90.00°
Space group P2_12_12_1 (No. 19)
Asymmetric unit:
Pt1 0.154 0.073 0.462 [4 per cell]
Pb1 0.169 0.660 0.676 [4 per cell]
S1 0.144 0.739 0.139 [4 per cell]
O1 0.127 0.143 0.007 [4 per cell]

Principal peaks in the range 2θ from 5° to 70°, in order of rising 2θ:
- 22.61 deg, rel. 829
- 25.23 deg, rel. 433
- 29.58 deg, rel. 1000
- 29.69 deg, rel. 375
- 31.69 deg, rel. 582
- 32.60 deg, rel. 368
- 35.36 deg, rel. 241
- 40.09 deg, rel. 432
- 47.16 deg, rel. 274
- 53.87 deg, rel. 408

Q: Which formula does entry 4 have?
A: Sr4Pa4O11